No. 1
Structure and theoretical powder XRD pattern of TbHoMgOs (DFT lattice parameters and positions (GGA-PBE); CuKα).
Intensities are scaled so that the largest is 100.

Largest 6 diffraction maxima, sorted by position, 10° ≤ 2θ ≤ 90°:
- 8.490 Å, I = 100, (0 0 1)
- 2.653 Å, I = 78, (1 0 2)
- 2.403 Å, I = 40, (1 1 0)
- 2.175 Å, I = 39, (1 0 3)
- 1.699 Å, I = 19, (2 0 0)
- 1.431 Å, I = 23, (2 1 2)

Structural model:
Lattice parameters (Å, degrees): 3.399 3.399 8.490 90.00 90.00 90.00
Space group P4mm (No. 99)
Unique sites:
Tb: 0.000 0.000 0.000 [1 per cell]
Ho: 0.000 0.000 0.608 [1 per cell]
Mg: 0.500 0.500 0.306 [1 per cell]
Os: 0.500 0.500 0.802 [1 per cell]

=====

No. 2
Structure and theoretical powder XRD pattern of AgGe4Se7 (DFT lattice parameters and positions (GGA-PBE); CuKα).
Intensities are scaled so that the largest is 100.

Largest 6 diffraction maxima, sorted by position, 10° ≤ 2θ ≤ 90°:
- 6.601 Å, I = 100, (1 0 1)
- 3.634 Å, I = 73, (0 0 2)
- 3.404 Å, I = 56, (4 1 0)
- 3.082 Å, I = 45, (4 1 1)
- 3.056 Å, I = 45, (0 2 1)
- 1.973 Å, I = 69, (8 0 0)

Structural model:
Lattice parameters (Å, degrees): 15.775 6.737 7.268 90.00 90.00 90.00
Space group Pmn2_1 (No. 31)
Unique sites:
Ag: 0.000 0.231 0.000 [2 per cell]
Ge: 0.126 0.717 0.884 [4 per cell]
Ge: 0.240 0.760 0.380 [4 per cell]
Se: 0.000 0.851 0.044 [2 per cell]
Se: 0.106 0.689 0.563 [4 per cell]
Se: 0.141 0.413 0.063 [4 per cell]
Se: 0.250 0.111 0.490 [4 per cell]

=====

No. 3
Structure and theoretical powder XRD pattern of Eu3Tm (DFT lattice parameters and positions (GGA-PBE); CuKα).
Intensities are scaled so that the largest is 100.

Largest 6 diffraction maxima, sorted by position, 10° ≤ 2θ ≤ 90°:
- 3.075 Å, I = 100, (1 1 1)
- 2.663 Å, I = 51, (2 0 0)
- 1.883 Å, I = 37, (2 2 0)
- 1.606 Å, I = 44, (3 1 1)
- 1.222 Å, I = 18, (3 3 1)
- 1.191 Å, I = 17, (4 2 0)

Structural model:
Lattice parameters (Å, degrees): 5.325 5.325 5.325 90.00 90.00 90.00
Space group Pm-3m (No. 221)
Unique sites:
Eu: 0.000 0.000 0.500 [3 per cell]
Tm: 0.500 0.500 0.500 [1 per cell]

=====

No. 4
Structure and theoretical powder XRD pattern of Li9NdPd2 (DFT lattice parameters and positions (GGA-PBE); CuKα).
Intensities are scaled so that the largest is 100.

Largest 6 diffraction maxima, sorted by position, 10° ≤ 2θ ≤ 90°:
- 5.475 Å, I = 21, (2 0 0)
- 4.058 Å, I = 100, (2 1 1)
- 3.022 Å, I = 24, (2 0 2)
- 2.801 Å, I = 42, (3 2 1)
- 2.737 Å, I = 27, (4 0 0)
- 2.029 Å, I = 19, (4 2 2)

Structural model:
Lattice parameters (Å, degrees): 10.949 10.949 7.250 90.00 90.00 90.00
Space group I4_1/amd (No. 141, origin choice 2)
Unique sites:
Li: 0.000 0.250 0.375 [4 per cell]
Li: 0.121 0.049 0.196 [32 per cell]
Nd: 0.000 0.250 0.875 [4 per cell]
Pd: 0.000 0.000 0.500 [8 per cell]

=====

No. 5
Structure and theoretical powder XRD pattern of Al2ReTc2 (DFT lattice parameters and positions (GGA-PBE); CuKα).
Intensities are scaled so that the largest is 100.

Largest 6 diffraction maxima, sorted by position, 10° ≤ 2θ ≤ 90°:
- 2.480 Å, I = 72, (0 4 1)
- 2.258 Å, I = 97, (1 5 0)
- 2.150 Å, I = 76, (0 6 1)
- 1.995 Å, I = 100, (1 1 1)
- 1.320 Å, I = 35, (1 11 1)
- 1.168 Å, I = 30, (2 6 1)

Structural model:
Lattice parameters (Å, degrees): 2.785 19.295 2.891 90.00 90.00 90.00
Space group Cmmm (No. 65)
Unique sites:
Al: 0.000 0.186 0.000 [4 per cell]
Re: 0.000 0.000 0.000 [2 per cell]
Tc: 0.000 0.406 0.500 [4 per cell]

=====

No. 6
Structure and theoretical powder XRD pattern of Pm2UNiS5 (DFT lattice parameters and positions (GGA-PBE); CuKα).
Intensities are scaled so that the largest is 100.

Largest 6 diffraction maxima, sorted by position, 10° ≤ 2θ ≤ 90°:
- 4.100 Å, I = 23, (0 4 0)
- 3.580 Å, I = 61, (0 2 3)
- 3.129 Å, I = 31, (1 3 0)
- 2.716 Å, I = 100, (1 1 3)
- 2.296 Å, I = 41, (1 5 2)
- 1.909 Å, I = 31, (2 0 0)

Structural model:
Lattice parameters (Å, degrees): 3.816 16.399 11.939 90.00 90.00 90.00
Space group Cmc2_1 (No. 36)
Unique sites:
Pm: 0.000 0.113 0.000 [4 per cell]
Pm: 0.000 0.116 0.347 [4 per cell]
U: 0.000 0.176 0.678 [4 per cell]
Ni: 0.000 0.446 0.071 [4 per cell]
S: 0.000 0.018 0.661 [4 per cell]
S: 0.000 0.302 0.341 [4 per cell]
S: 0.000 0.315 0.015 [4 per cell]
S: 0.000 0.343 0.672 [4 per cell]
S: 0.000 0.495 0.402 [4 per cell]

=====

No. 7
Structure and theoretical powder XRD pattern of Rb3Os2O7 (DFT lattice parameters and positions (GGA-PBE); CuKα).
Intensities are scaled so that the largest is 100.

Largest 6 diffraction maxima, sorted by position, 10° ≤ 2θ ≤ 90°:
- 3.050 Å, I = 81, (1 5 0)
- 2.804 Å, I = 78, (0 6 1)
- 2.778 Å, I = 100, (1 1 1)
- 1.715 Å, I = 35, (1 11 1)
- 1.658 Å, I = 28, (1 5 2)
- 1.618 Å, I = 31, (2 6 1)

Structural model:
Lattice parameters (Å, degrees): 3.962 23.891 3.950 90.00 90.00 90.00
Space group Cmmm (No. 65)
Unique sites:
Rb: 0.000 0.000 0.000 [2 per cell]
Rb: 0.000 0.178 0.000 [4 per cell]
Os: 0.000 0.416 0.500 [4 per cell]
O: 0.000 0.084 0.500 [4 per cell]
O: 0.000 0.337 0.500 [4 per cell]
O: 0.000 0.416 0.000 [4 per cell]
O: 0.000 0.500 0.500 [2 per cell]

=====

No. 8
Structure and theoretical powder XRD pattern of Nd2H3Pb (DFT lattice parameters and positions (GGA-PBE); CuKα).
Intensities are scaled so that the largest is 100.

Largest 6 diffraction maxima, sorted by position, 10° ≤ 2θ ≤ 90°:
- 7.818 Å, I = 21, (0 0 1)
- 3.093 Å, I = 54, (4 0 -2)
- 2.898 Å, I = 91, (1 1 -2)
- 2.884 Å, I = 100, (3 1 0)
- 2.859 Å, I = 42, (2 0 2)
- 1.676 Å, I = 23, (4 2 -2)

Structural model:
Lattice parameters (Å, degrees): 13.577 3.987 8.468 90.00 112.61 90.00
Space group C2/m (No. 12)
Unique sites:
Nd: 0.014 0.000 0.233 [4 per cell]
Nd: 0.174 0.500 0.628 [4 per cell]
H: 0.020 0.500 0.370 [4 per cell]
H: 0.096 0.000 0.630 [4 per cell]
H: 0.182 0.000 0.455 [4 per cell]
Pb: 0.160 0.500 0.056 [4 per cell]